1.
For Fe7Pb7F34, a DFT-relaxed cell (GGA+U, the Materials Project) gives the theoretical XRD peak list in this record (CuKα).
No peak broadening, texture or thermal motion is included.

Top 10 peaks for 10° ≤ 2θ ≤ 90°, by angle:
h k l	two_theta	d/Å	I/Imax
2 0 0	10.97	8.068	37
3 1 1	23.65	3.762	58
1 1 -2	24.30	3.662	69
1 3 -1	26.29	3.390	44
4 2 0	27.08	3.293	100
4 2 -1	27.53	3.240	54
0 2 2	28.37	3.146	90
4 0 -2	28.63	3.118	68
3 3 2	39.89	2.260	51
8 2 -2	48.90	1.862	37

Crystal structure
```
data_Fe7Pb7F34
_symmetry_space_group_name_H-M 'C 1 2/m 1'
_symmetry_Int_Tables_number 12
_cell_length_a 16.5452
_cell_length_b 11.4009
_cell_length_c 7.7350
_cell_angle_alpha 90.00
_cell_angle_beta 102.76
_cell_angle_gamma 90.00
loop_
_symmetry_equiv_pos_as_xyz
'x,y,z'
'-x,-y,-z'
'-x,y,-z'
'x,-y,z'
'x+1/2,y+1/2,z'
'-x+1/2,-y+1/2,-z'
'-x+1/2,y+1/2,-z'
'x+1/2,-y+1/2,z'
loop_
_atom_site_label
_atom_site_type_symbol
_atom_site_fract_x
_atom_site_fract_y
_atom_site_fract_z
Fe1 Fe 0.0000 0.0000 0.0000
Fe2 Fe 0.1075 0.2552 0.3007
Fe3 Fe 0.1639 0.5000 0.0347
Pb1 Pb 0.0000 0.5000 0.5000
Pb2 Pb 0.1460 0.1902 0.7959
Pb3 Pb 0.2406 0.0000 0.3990
F1 F 0.0070 0.2810 0.6935
F2 F 0.0723 0.0000 0.8120
F3 F 0.0836 0.1348 0.1151
F4 F 0.0966 0.3784 0.1155
F5 F 0.0983 0.5000 0.7977
F6 F 0.1245 0.1299 0.4811
F7 F 0.1332 0.3758 0.4914
F8 F 0.2244 0.2392 0.3056
F9 F 0.2324 0.3790 0.9600
F10 F 0.2476 0.5000 0.2694
```

---

2.
For LiVPO4F, a DFT-relaxed cell (GGA+U, the Materials Project) gives the theoretical XRD peak list in this record (CuKα).
No peak broadening, texture or thermal motion is included.

Top 10 peaks for 10° ≤ 2θ ≤ 90°, by angle:
h k l	two_theta	d/Å	I/Imax
0 1 0	17.77	4.991	28
1 0 -1	18.28	4.854	39
1 0 0	18.49	4.799	55
1 -1 0	22.22	4.002	24
-1 1 1	25.69	3.467	29
1 0 -2	26.42	3.374	100
0 1 -2	26.64	3.346	89
1 1 0	28.89	3.091	97
1 -2 0	36.13	2.486	31
1 -3 2	54.43	1.686	27

Crystal structure
```
data_LiVPO4F
_symmetry_space_group_name_H-M 'P -1'
_symmetry_Int_Tables_number 2
_cell_length_a 5.2377
_cell_length_b 5.3914
_cell_length_c 7.4272
_cell_angle_alpha 106.89
_cell_angle_beta 108.74
_cell_angle_gamma 97.81
loop_
_symmetry_equiv_pos_as_xyz
'x,y,z'
'-x,-y,-z'
loop_
_atom_site_label
_atom_site_type_symbol
_atom_site_fract_x
_atom_site_fract_y
_atom_site_fract_z
Li1 Li 0.2301 0.3842 0.3124
V1 V 0.5000 0.0000 0.0000
V2 V 0.5000 0.0000 0.5000
P1 P 0.1775 0.3592 0.7372
O1 O 0.1322 0.7512 0.4134
O2 O 0.1932 0.6586 0.8436
O3 O 0.2491 0.2140 0.8890
O4 O 0.3697 0.3342 0.6115
F1 F 0.3697 0.0735 0.2374
```

---

3.
For NdMnPO, a DFT-relaxed cell (GGA+U, the Materials Project) gives the theoretical XRD peak list in this record (CuKα).
No peak broadening, texture or thermal motion is included.

Top 10 peaks for 10° ≤ 2θ ≤ 90°, by angle:
h k l	two_theta	d/Å	I/Imax
1 0 1	23.87	3.728	35
1 0 2	29.59	3.018	100
1 1 0	30.81	2.902	16
1 1 1	32.44	2.760	42
1 1 2	36.97	2.432	18
1 0 3	37.38	2.406	17
2 0 0	44.13	2.052	35
1 1 4	51.74	1.767	36
2 1 2	54.03	1.697	36
3 1 4	86.86	1.121	16

Crystal structure
```
data_NdMnPO
_symmetry_space_group_name_H-M 'P 4/n m m'
_symmetry_Int_Tables_number 129
_cell_length_a 4.1046
_cell_length_b 4.1046
_cell_length_c 8.9088
_cell_angle_alpha 90.00
_cell_angle_beta 90.00
_cell_angle_gamma 90.00
loop_
_symmetry_equiv_pos_as_xyz
'x,y,z'
'-x,-y,-z'
'-y+1/2,x,z'
'y+1/2,-x,-z'
'-x+1/2,-y+1/2,z'
'x+1/2,y+1/2,-z'
'y,-x+1/2,z'
'-y,x+1/2,-z'
'x+1/2,-y,-z'
'-x+1/2,y,z'
'-y,-x,-z'
'y,x,z'
'-x,y+1/2,-z'
'x,-y+1/2,z'
'y+1/2,x+1/2,-z'
'-y+1/2,-x+1/2,z'
loop_
_atom_site_label
_atom_site_type_symbol
_atom_site_fract_x
_atom_site_fract_y
_atom_site_fract_z
Nd1 Nd 0.2500 0.2500 0.1298
Mn1 Mn 0.2500 0.7500 0.5000
P1 P 0.2500 0.2500 0.6732
O1 O 0.2500 0.7500 0.0000
```

---

4.
For Li4Cr3GaO8, a DFT-relaxed cell (GGA+U, the Materials Project) gives the theoretical XRD peak list in this record (CuKα).
No peak broadening, texture or thermal motion is included.

Top 10 peaks for 10° ≤ 2θ ≤ 90°, by angle:
h k l	two_theta	d/Å	I/Imax
1 0 0	18.30	4.847	100
1 3 1	35.51	2.528	42
2 0 0	37.13	2.421	18
2 3 1	43.14	2.097	79
2 1 3	47.23	1.925	14
2 -2 2	57.03	1.615	16
1 4 4	62.65	1.483	43
0 4 4	65.90	1.417	15
3 -2 2	75.12	1.265	9
2 2 6	79.13	1.210	10

Crystal structure
```
data_Li4Cr3GaO8
_symmetry_space_group_name_H-M 'P -1'
_symmetry_Int_Tables_number 2
_cell_length_a 5.1397
_cell_length_b 7.8417
_cell_length_c 7.8437
_cell_angle_alpha 81.79
_cell_angle_beta 83.76
_cell_angle_gamma 70.93
loop_
_symmetry_equiv_pos_as_xyz
'x,y,z'
'-x,-y,-z'
loop_
_atom_site_label
_atom_site_type_symbol
_atom_site_fract_x
_atom_site_fract_y
_atom_site_fract_z
Li1 Li 0.0000 0.0000 0.0000
Li2 Li 0.0005 0.1249 0.6250
Li3 Li 0.0005 0.2499 0.2499
Li4 Li 0.0000 0.3749 0.8753
Li5 Li 0.0000 0.5000 0.5000
Cr1 Cr 0.4999 0.0627 0.8124
Cr2 Cr 0.4997 0.1879 0.4376
Cr3 Cr 0.5000 0.3127 0.0625
Ga1 Ga 0.5000 0.4376 0.6874
O1 O 0.2734 0.6508 0.5301
O2 O 0.2742 0.2764 0.6553
O3 O 0.2744 0.4012 0.2801
O4 O 0.2743 0.5261 0.9050
O5 O 0.2742 0.7761 0.1552
O6 O 0.2759 0.0258 0.4053
O7 O 0.2757 0.1510 0.0302
O8 O 0.2758 0.9007 0.7800
```

---

5.
For FeH10S2N4O8, a DFT-relaxed cell (GGA+U, the Materials Project) gives the theoretical XRD peak list in this record (CuKα).
No peak broadening, texture or thermal motion is included.

Top 10 peaks for 10° ≤ 2θ ≤ 90°, by angle:
h k l	two_theta	d/Å	I/Imax
0 0 1	12.12	7.303	83
0 1 0	14.68	6.033	38
0 1 -1	18.05	4.915	100
-1 1 1	23.15	3.841	70
1 1 0	23.86	3.730	59
1 0 -2	24.78	3.593	42
0 1 -2	27.17	3.283	34
-1 1 2	29.66	3.012	23
1 1 1	30.19	2.960	36
2 0 -1	33.64	2.664	44

Crystal structure
```
data_FeH10S2N4O8
_symmetry_space_group_name_H-M 'P -1'
_symmetry_Int_Tables_number 2
_cell_length_a 5.3299
_cell_length_b 6.0709
_cell_length_c 7.7987
_cell_angle_alpha 95.09
_cell_angle_beta 109.64
_cell_angle_gamma 91.98
loop_
_symmetry_equiv_pos_as_xyz
'x,y,z'
'-x,-y,-z'
loop_
_atom_site_label
_atom_site_type_symbol
_atom_site_fract_x
_atom_site_fract_y
_atom_site_fract_z
Fe1 Fe 0.0000 0.0000 0.0000
H1 H 0.0551 0.5437 0.1963
H2 H 0.0958 0.1179 0.7101
H3 H 0.2125 0.6165 0.4253
H4 H 0.2200 0.9842 0.3655
H5 H 0.3675 0.6568 0.2723
S1 S 0.4088 0.7570 0.7862
N1 N 0.0840 0.8772 0.2656
N2 N 0.1847 0.6609 0.2921
O1 O 0.2625 0.7651 0.9195
O2 O 0.2980 0.2597 0.1125
O3 O 0.3108 0.5535 0.6531
O4 O 0.3715 0.9578 0.6860
```

---

6.
For Rb2Cr4CuH4O16, a DFT-relaxed cell (GGA+U, the Materials Project) gives the theoretical XRD peak list in this record (CuKα).
No peak broadening, texture or thermal motion is included.

Top 10 peaks for 10° ≤ 2θ ≤ 90°, by angle:
h k l	two_theta	d/Å	I/Imax
1 1 -1	18.52	4.791	56
1 1 0	19.32	4.594	37
1 -2 0	24.67	3.608	100
1 1 -2	25.48	3.496	46
-1 1 2	25.99	3.429	64
2 0 0	26.81	3.325	58
0 1 -2	27.13	3.287	44
1 2 0	29.18	3.060	29
0 1 2	29.71	3.007	45
1 -1 2	34.52	2.598	47

Crystal structure
```
data_Rb2Cr4CuH4O16
_symmetry_space_group_name_H-M 'P -1'
_symmetry_Int_Tables_number 2
_cell_length_a 7.6052
_cell_length_b 7.7493
_cell_length_c 7.7943
_cell_angle_alpha 92.05
_cell_angle_beta 117.04
_cell_angle_gamma 98.76
loop_
_symmetry_equiv_pos_as_xyz
'x,y,z'
'-x,-y,-z'
loop_
_atom_site_label
_atom_site_type_symbol
_atom_site_fract_x
_atom_site_fract_y
_atom_site_fract_z
Rb1 Rb 0.2452 0.1561 0.2321
Cr1 Cr 0.2457 0.6689 0.9780
Cr2 Cr 0.3009 0.1495 0.7442
Cu1 Cu 0.0000 0.5000 0.5000
H1 H 0.2302 0.7953 0.5127
H2 H 0.3291 0.6278 0.5372
O1 O 0.0842 0.6423 0.7408
O2 O 0.1113 0.0665 0.7775
O3 O 0.1603 0.7859 0.0889
O4 O 0.2043 0.6684 0.4589
O5 O 0.2575 0.3237 0.6281
O6 O 0.2748 0.4825 0.0653
O7 O 0.3478 0.0031 0.6180
O8 O 0.4873 0.7862 0.0207
```

---

7.
For KMnO3, a DFT-relaxed cell (GGA+U, the Materials Project) gives the theoretical XRD peak list in this record (CuKα).
No peak broadening, texture or thermal motion is included.

Top 10 peaks for 10° ≤ 2θ ≤ 90°, by angle:
h k l	two_theta	d/Å	I/Imax
1 0 0	22.47	3.956	21
1 1 0	31.99	2.797	100
1 1 1	39.45	2.284	6
2 0 0	45.88	1.978	54
2 1 0	51.66	1.769	7
2 1 1	57.02	1.615	35
2 2 0	66.89	1.399	29
3 0 0	71.55	1.319	3
3 1 0	76.08	1.251	14
2 2 2	84.91	1.142	9

Crystal structure
```
data_KMnO3
_symmetry_space_group_name_H-M 'P m -3 m'
_symmetry_Int_Tables_number 221
_symmetry_space_group_name_Hall '-P 4 2 3'
_cell_length_a 3.9562
_cell_length_b 3.9562
_cell_length_c 3.9562
_cell_angle_alpha 90.00
_cell_angle_beta 90.00
_cell_angle_gamma 90.00
loop_
_atom_site_label
_atom_site_type_symbol
_atom_site_fract_x
_atom_site_fract_y
_atom_site_fract_z
K1 K 0.0000 0.0000 0.0000
Mn1 Mn 0.5000 0.5000 0.5000
O1 O 0.0000 0.5000 0.5000
```

---

What did the first record say?
For Fe7Pb7F34, a DFT-relaxed cell (GGA+U, the Materials Project) gives the theoretical XRD peak list in this record (CuKα).
No peak broadening, texture or thermal motion is included.

Top 10 peaks for 10° ≤ 2θ ≤ 90°, by angle:
h k l	two_theta	d/Å	I/Imax
2 0 0	10.97	8.068	37
3 1 1	23.65	3.762	58
1 1 -2	24.30	3.662	69
1 3 -1	26.29	3.390	44
4 2 0	27.08	3.293	100
4 2 -1	27.53	3.240	54
0 2 2	28.37	3.146	90
4 0 -2	28.63	3.118	68
3 3 2	39.89	2.260	51
8 2 -2	48.90	1.862	37

Crystal structure
```
data_Fe7Pb7F34
_symmetry_space_group_name_H-M 'C 1 2/m 1'
_symmetry_Int_Tables_number 12
_cell_length_a 16.5452
_cell_length_b 11.4009
_cell_length_c 7.7350
_cell_angle_alpha 90.00
_cell_angle_beta 102.76
_cell_angle_gamma 90.00
loop_
_symmetry_equiv_pos_as_xyz
'x,y,z'
'-x,-y,-z'
'-x,y,-z'
'x,-y,z'
'x+1/2,y+1/2,z'
'-x+1/2,-y+1/2,-z'
'-x+1/2,y+1/2,-z'
'x+1/2,-y+1/2,z'
loop_
_atom_site_label
_atom_site_type_symbol
_atom_site_fract_x
_atom_site_fract_y
_atom_site_fract_z
Fe1 Fe 0.0000 0.0000 0.0000
Fe2 Fe 0.1075 0.2552 0.3007
Fe3 Fe 0.1639 0.5000 0.0347
Pb1 Pb 0.0000 0.5000 0.5000
Pb2 Pb 0.1460 0.1902 0.7959
Pb3 Pb 0.2406 0.0000 0.3990
F1 F 0.0070 0.2810 0.6935
F2 F 0.0723 0.0000 0.8120
F3 F 0.0836 0.1348 0.1151
F4 F 0.0966 0.3784 0.1155
F5 F 0.0983 0.5000 0.7977
F6 F 0.1245 0.1299 0.4811
F7 F 0.1332 0.3758 0.4914
F8 F 0.2244 0.2392 0.3056
F9 F 0.2324 0.3790 0.9600
F10 F 0.2476 0.5000 0.2694
```